# 1
Simulated PXRD pattern
Compound: MgCoPO5
Radiation: Cu Kα (λ = 1.5418 Å)
Structure: DFT lattice parameters and positions (GGA+U)
Intensities are scaled so that the largest is 100.

Structural model:
```
data_MgCoPO5
_chemical_formula_sum 'Mg2 Co2 P2 O10'
_symmetry_space_group_name_H-M 'P -1'
_symmetry_Int_Tables_number 2
_cell_length_a 5.331
_cell_length_b 5.512
_cell_length_c 6.777
_cell_angle_alpha 106.41
_cell_angle_beta 106.08
_cell_angle_gamma 98.95
loop_
_symmetry_equiv_pos_as_xyz
'x,y,z'
'-x,-y,-z'
loop_
_atom_site_label
_atom_site_fract_x
_atom_site_fract_y
_atom_site_fract_z
Mg1 0.246 0.371 0.263
Co1 0.500 0.000 0.000
Co2 0.500 0.000 0.500
P1 0.175 0.395 0.759
O1 0.127 0.714 0.382
O2 0.184 0.694 0.852
O3 0.258 0.281 0.943
O4 0.360 0.354 0.614
O5 0.406 0.065 0.247
```

Main lines, low angle first (10° ≤ 2θ ≤ 90°):
2theta, Rel. int., h k l
17.9, 56, 1 0 0
21.6, 25, 1 -1 0
28.1, 100, 1 1 0
28.4, 82, 0 1 -2
28.6, 58, 1 0 -2
35.2, 61, 1 -2 0
36.1, 19, 2 -1 0
44.5, 32, 2 1 0
53.8, 44, 0 3 0
54.2, 20, 1 1 -4


# 2
Simulated PXRD pattern
Compound: MnGeO2
Radiation: Cu Kα (λ = 1.5418 Å)
Structure: DFT lattice parameters and positions (GGA+U)
Intensities are scaled so that the largest is 100.

Structural model:
```
data_MnGeO2
_chemical_formula_sum 'Mn4 Ge4 O8'
_symmetry_space_group_name_H-M 'C m c 21'
_symmetry_Int_Tables_number 36
_cell_length_a 3.114
_cell_length_b 15.582
_cell_length_c 4.860
_cell_angle_alpha 90.00
_cell_angle_beta 90.00
_cell_angle_gamma 90.00
loop_
_symmetry_equiv_pos_as_xyz
'x,y,z'
'-x,-y,z+1/2'
'-x,y,z'
'x,-y,z+1/2'
'x+1/2,y+1/2,z'
'-x+1/2,-y+1/2,z+1/2'
'-x+1/2,y+1/2,z'
'x+1/2,-y+1/2,z+1/2'
loop_
_atom_site_label
_atom_site_fract_x
_atom_site_fract_y
_atom_site_fract_z
Mn1 0.000 0.175 0.000
Ge1 0.000 0.389 0.993
O1 0.000 0.070 0.687
O2 0.000 0.290 0.223
```

Main lines, low angle first (10° ≤ 2θ ≤ 90°):
2theta, Rel. int., h k l
11.4, 24, 0 2 0
21.6, 26, 0 2 1
22.8, 51, 0 4 0
29.4, 57, 0 4 1
34.7, 100, 1 1 1
37.0, 24, 0 0 2
38.5, 25, 1 3 1
39.3, 23, 0 6 1
41.0, 24, 1 5 0
56.4, 41, 1 5 2